No. 1
Diffraction record for Mg5RhPb. The powder diffractogram is simulated, not measured: it uses a DFT-relaxed cell (GGA-PBE, Alexandria) and Cu Kα (weighted mean of Kα1 and Kα2).

Main lines, by angle (2θ from 10° to 90°):
| index | Position (°2θ) | I (rel.) |
| --- | --- | --- |
| 0 0 2 | 21.84 | 19 |
| 1 0 1 | 23.33 | 100 |
| 1 1 0 | 29.27 | 19 |
| 1 1 2 | 36.82 | 74 |
| 1 0 3 | 39.22 | 26 |
| 2 0 0 | 41.88 | 26 |
| 2 1 1 | 48.49 | 29 |
| 2 1 3 | 58.71 | 16 |
| 2 2 0 | 60.76 | 16 |
| 3 1 2 | 73.16 | 21 |

Atomic structure:
Lattice parameters (Å, degrees): 4.3146 4.3146 8.1405 90.00 90.00 90.00
Space group P4/mmm (No. 123)
Asymmetric unit:
Mg  0.0000  0.0000  0.0000
Mg  0.0000  0.5000  0.2378
Rh  0.5000  0.5000  0.0000
Pb  0.0000  0.0000  0.5000

***

No. 2
Diffraction record for Mg4Rh5Pb. The powder diffractogram is simulated, not measured: it uses a DFT-relaxed cell (GGA-PBE, Alexandria) and Cu Kα (weighted mean of Kα1 and Kα2).

Main lines, by angle (2θ from 10° to 90°):
| index | Position (°2θ) | I (rel.) |
| --- | --- | --- |
| 0 0 2 | 11.27 | 21 |
| 1 0 0 | 27.99 | 10 |
| 1 0 1 | 28.58 | 13 |
| 1 0 2 | 30.26 | 11 |
| 1 0 4 | 36.31 | 12 |
| 1 1 0 | 40.00 | 53 |
| 1 0 5 | 40.32 | 100 |
| 2 0 0 | 57.86 | 18 |
| 2 1 5 | 72.87 | 35 |
| 1 1 10 | 73.51 | 15 |

Atomic structure:
Lattice parameters (Å, degrees): 3.1875 3.1875 15.7013 90.00 90.00 90.00
Space group P4/mmm (No. 123)
Asymmetric unit:
Mg  0.0000  0.0000  0.0965
Mg  0.0000  0.0000  0.2881
Rh  0.5000  0.5000  0.0000
Rh  0.5000  0.5000  0.1936
Rh  0.5000  0.5000  0.3930
Pb  0.0000  0.0000  0.5000

***

No. 3
Diffraction record for MgPb4S5. The powder diffractogram is simulated, not measured: it uses a DFT-relaxed cell (GGA-PBE, Alexandria) and Cu Kα (weighted mean of Kα1 and Kα2).

Main lines, by angle (2θ from 10° to 90°):
| index | Position (°2θ) | I (rel.) |
| --- | --- | --- |
| 0 0 15 | 26.10 | 21 |
| 0 1 5 | 26.43 | 65 |
| 1 0 10 | 30.52 | 100 |
| 0 1 20 | 43.49 | 33 |
| 1 1 0 | 43.92 | 39 |
| 1 1 15 | 51.80 | 22 |
| 2 0 5 | 51.99 | 11 |
| 0 2 10 | 54.43 | 20 |
| 1 1 30 | 71.79 | 12 |
| 2 1 10 | 72.42 | 17 |

Atomic structure:
Lattice parameters (Å, degrees): 4.1230 4.1230 51.2177 90.00 90.00 120.00
Space group R-3m (No. 166, hexagonal axes)
Asymmetric unit:
Mg  0.0000  0.0000  0.0000
Pb  0.0000  0.0000  0.2015
Pb  0.0000  0.0000  0.3956
S  0.0000  0.0000  0.0970
S  0.0000  0.0000  0.3069
S  0.0000  0.0000  0.5000

***

No. 4
Diffraction record for MgSc4PbS8. The powder diffractogram is simulated, not measured: it uses a DFT-relaxed cell (GGA-PBE, Alexandria) and Cu Kα (weighted mean of Kα1 and Kα2).

Main lines, by angle (2θ from 10° to 90°):
| index | Position (°2θ) | I (rel.) |
| --- | --- | --- |
| 1 0 1 | 14.04 | 56 |
| 0 1 2 | 16.16 | 41 |
| 1 0 4 | 22.78 | 83 |
| 1 1 0 | 23.07 | 59 |
| 0 1 5 | 26.73 | 53 |
| 1 1 3 | 26.98 | 100 |
| 0 2 1 | 27.11 | 64 |
| 1 2 5 | 42.84 | 44 |
| 2 0 8 | 46.52 | 64 |
| 2 2 0 | 47.15 | 62 |

Atomic structure:
Lattice parameters (Å, degrees): 7.7106 7.7106 19.2489 90.00 90.00 120.00
Space group R3m (No. 160, hexagonal axes)
Asymmetric unit:
Mg  0.0000  0.0000  0.0000
Sc  0.0000  0.0000  0.3763
Sc  0.0055  0.5028  0.5011
Pb  0.0000  0.0000  0.6248
S  0.0000  0.0000  0.2442
S  0.0000  0.0000  0.7676
S  0.0179  0.5089  0.7532
S  0.1890  0.3781  0.5765

***

No. 5
Diffraction record for MgSc4Pb5. The powder diffractogram is simulated, not measured: it uses a DFT-relaxed cell (GGA-PBE, Alexandria) and Cu Kα (weighted mean of Kα1 and Kα2).

Main lines, by angle (2θ from 10° to 90°):
| index | Position (°2θ) | I (rel.) |
| --- | --- | --- |
| 1 0 1 | 17.41 | 18 |
| 2 1 1 | 25.81 | 100 |
| 0 0 2 | 29.47 | 24 |
| 1 3 0 | 30.10 | 94 |
| 1 1 2 | 32.47 | 17 |
| 2 0 2 | 35.24 | 18 |
| 1 3 2 | 42.62 | 49 |
| 4 2 0 | 43.08 | 35 |
| 5 0 1 | 50.90 | 32 |
| 4 2 2 | 53.06 | 21 |

Atomic structure:
Lattice parameters (Å, degrees): 9.3897 9.3897 6.0622 90.00 90.00 90.00
Space group I4 (No. 79)
Asymmetric unit:
Mg  0.0000  0.0000  0.0000
Sc  0.0974  0.3051  0.7006
Pb  0.0000  0.0000  0.5140
Pb  0.1006  0.2882  0.1987

***

No. 6
Diffraction record for MgSc6Pb. The powder diffractogram is simulated, not measured: it uses a DFT-relaxed cell (GGA-PBE, Alexandria) and Cu Kα (weighted mean of Kα1 and Kα2).

Main lines, by angle (2θ from 10° to 90°):
| index | Position (°2θ) | I (rel.) |
| --- | --- | --- |
| 1 0 0 | 15.37 | 70 |
| 1 1 0 | 21.81 | 38 |
| 1 1 1 | 26.79 | 25 |
| 2 0 0 | 31.03 | 44 |
| 2 0 1 | 34.80 | 82 |
| 2 1 1 | 38.25 | 100 |
| 2 2 1 | 47.31 | 22 |
| 3 2 0 | 57.66 | 18 |
| 3 2 1 | 60.06 | 52 |
| 4 1 2 | 75.60 | 16 |

Atomic structure:
Lattice parameters (Å, degrees): 5.7640 5.7640 5.7640 90.00 90.00 90.00
Space group Pm-3 (No. 200)
Asymmetric unit:
Mg  0.0000  0.0000  0.0000
Sc  0.0000  0.2516  0.5000
Pb  0.5000  0.5000  0.5000